Diffraction record for Ca2Ta2FeO8. The PXRD pattern is computed, not measured: it uses a structure optimized by DFT (PBE+U) and Cu Kα (λ = 1.5418 Å).
Intensities are scaled so that the largest is 1000.

```
data_Ca2Ta2FeO8
_chemical_formula_sum 'Ca8 Ta8 Fe4 O32'
_cell_length_a 19.109
_cell_length_b 6.437
_cell_length_c 5.457
_cell_angle_alpha 90.00
_cell_angle_beta 92.45
_cell_angle_gamma 90.00
_symmetry_space_group_name_H-M 'C 1 2/c 1'
_symmetry_Int_Tables_number 15
_symmetry_space_group_name_Hall '-C 2yc'
loop_
_atom_site_label
_atom_site_type_symbol
_atom_site_fract_x
_atom_site_fract_y
_atom_site_fract_z
Ca1 Ca 0.209 0.172 0.244
Ta1 Ta 0.113 0.354 0.747
Fe1 Fe 0.000 0.142 0.250
O1 O 0.057 0.153 0.578
O2 O 0.072 0.379 0.077
O3 O 0.182 0.436 0.489
O4 O 0.185 0.156 0.839
```

The 10 most intense peaks (10° ≤ 2θ ≤ 90°), most intense first:
- (0 2 1), d = 2.770 Å, 32.32°, intensity 1000
- (5 1 -1), d = 2.860 Å, 31.28°, intensity 479
- (5 1 0), d = 3.284 Å, 27.15°, intensity 407
- (4 0 0), d = 4.773 Å, 18.59°, intensity 391
- (1 1 0), d = 6.099 Å, 14.52°, intensity 358
- (0 0 2), d = 2.726 Å, 32.85°, intensity 322
- (5 3 0), d = 1.870 Å, 48.68°, intensity 245
- (1 1 -1), d = 4.093 Å, 21.71°, intensity 240
- (4 2 1), d = 2.374 Å, 37.89°, intensity 237
- (3 1 0), d = 4.525 Å, 19.62°, intensity 233